Structure and computed powder diffraction line list of Lu3PuCo (a cell relaxed with GGA-PBE; CuKα).
No peak broadening, texture or thermal motion is included.

Cell and atoms:
```
data_Lu3PuCo
_space_group_name_H-M_alt 'P m -3 m'
_space_group_IT_number 221
_space_group_name_Hall '-P 4 2 3'
_cell_length_a 5.144
_cell_length_b 5.144
_cell_length_c 5.144
_cell_angle_alpha 90.00
_cell_angle_beta 90.00
_cell_angle_gamma 90.00
loop_
_atom_site_label
_atom_site_fract_x
_atom_site_fract_y
_atom_site_fract_z
_atom_site_occupancy
Lu1 0.000 0.000 0.500 1
Pu1 0.500 0.500 0.500 1
Co1 0.000 0.000 0.000 1
```

Peak list (10 most intense, 10° ≤ 2θ ≤ 90°, by intensity)
(1 1 1), 30.1 deg, intensity 100; (2 0 0), 34.9 deg, intensity 71; (2 2 0), 50.2 deg, intensity 51; (3 1 1), 59.6 deg, intensity 45; (4 2 0), 84.2 deg, intensity 24; (3 3 1), 81.6 deg, intensity 19; (2 2 2), 62.5 deg, intensity 18; (4 0 0), 73.7 deg, intensity 8; (1 1 0), 24.5 deg, intensity 8; (2 1 1), 43.1 deg, intensity 4